Record 1
Theoretical PXRD pattern of SnH8C4I4 for Cu Kα, 1.54184 Å, from the GGA-PBE geometry in the Materials Project.
Intensities are scaled so that the largest is 100.

Peak list (10 most intense, 10° ≤ 2θ ≤ 80°, sorted by position)
d_spacing	intensity
4.330	28
4.089	100
3.767	83
2.864	22
2.549	32
2.534	20
2.245	22
2.000	20
1.958	24
1.727	23

Cell: 9.6827 9.6827 7.6390 Å, 90.00 90.00 90.00°
Space group P-42_1c (No. 114)
One atom of each set of equivalent atoms:
Sn1 0.0000 0.0000 0.0000 x2
H1 0.0352 0.1913 0.2629 x8
H2 0.1526 0.2307 0.0863 x8
C1 0.1063 0.1486 0.1652 x8
I1 0.0587 0.7253 0.6885 x8



Record 2
Theoretical PXRD pattern of KInH8C4O12 for Cu Kα, 1.54184 Å, from the GGA-PBE geometry in the Materials Project.
Intensities are scaled so that the largest is 100.

Peak list (10 most intense, 10° ≤ 2θ ≤ 80°, sorted by position)
d_spacing	intensity
7.032	94
5.645	100
3.916	55
3.471	55
2.823	38
2.795	46
2.525	18
2.290	31
1.986	38
1.778	23

Cell: 11.2902 11.2902 8.9875 Å, 90.00 90.00 90.00°
Space group I4_1/a (No. 88, origin choice 2)
One atom of each set of equivalent atoms:
K1 0.0000 0.2500 0.1250 x4
In1 0.0000 0.2500 0.6250 x4
H1 0.0886 0.4864 0.8690 x16
H2 0.1687 0.0017 0.9886 x16
C1 0.0025 0.0229 0.4196 x16
O1 0.0018 0.4457 0.6840 x16
O2 0.0076 0.1334 0.4021 x16
O3 0.1447 0.0405 0.0825 x16